Calculated X-ray diffraction stick pattern
Compound: Ba2YCuO5
Radiation: Cu Kα, 1.54184 Å
Structure: DFT lattice parameters and positions (PBE)

Structural model:
```
Ba2YCuO5
1.0
6.0384 0.0000 0.0000
0.0000 6.0384 0.0000
0.0000 0.0000 7.9908
Ba Y Cu O
4 2 2 10
direct
0.0000 0.5000 0.2483 Ba
0.0000 0.5000 0.7517 Ba
0.5000 0.0000 0.2483 Ba
0.5000 0.0000 0.7517 Ba
0.0000 0.0000 0.0000 Y
0.5000 0.5000 0.5000 Y
0.0000 0.0000 0.5000 Cu
0.5000 0.5000 0.0000 Cu
0.2251 0.2251 0.5000 O
0.2251 0.7749 0.5000 O
0.2500 0.2500 0.0000 O
0.2500 0.7500 0.0000 O
0.5000 0.5000 0.2342 O
0.5000 0.5000 0.7658 O
0.7500 0.2500 0.0000 O
0.7500 0.7500 0.0000 O
0.7749 0.2251 0.5000 O
0.7749 0.7749 0.5000 O
```

Peak list (12 most intense, 10 to 90 degrees two-theta, by intensity)
| h k l | 2theta | d_spacing | I (rel.) |
| --- | --- | --- | --- |
| 1 1 2 | 30.64 | 2.917 | 100.0 |
| 2 0 0 | 29.59 | 3.019 | 46.0 |
| 3 1 2 | 53.16 | 1.723 | 41.1 |
| 2 2 0 | 42.34 | 2.135 | 30.5 |
| 2 2 4 | 63.81 | 1.459 | 16.7 |
| 2 0 4 | 55.13 | 1.666 | 16.1 |
| 0 0 4 | 45.40 | 1.998 | 12.4 |
| 2 0 2 | 37.33 | 2.409 | 11.8 |
| 5 1 2 | 85.53 | 1.135 | 10.9 |
| 3 1 6 | 89.78 | 1.092 | 9.8 |
| 4 2 4 | 87.12 | 1.119 | 9.5 |
| 4 0 0 | 61.42 | 1.510 | 9.4 |